Computed XRD peak list
Compound: Li4Ni3SbP4O16
Radiation: Cu Kα
Structure: a PBE+U-relaxed structure
Lines closer than 0.1° are merged.

Principal peaks in the range 15 to 90 degrees two-theta, low angle first:
- 2θ 17.0, I 61, (0 0 2)
- 2θ 20.3, I 46, (1 0 -1)
- 2θ 20.7, I 32, (1 0 1)
- 2θ 24.9, I 79, (1 1 -1)
- 2θ 25.2, I 85, (1 1 1)
- 2θ 28.7, I 100, (0 2 0)
- 2θ 34.7, I 71, (1 1 -3)
- 2θ 35.4, I 94, (1 1 3)
- 2θ 37.4, I 36, (0 1 4)
- 2θ 54.8, I 51, (0 1 6)

Cell lengths 4.7642, 6.2136, 10.4487 Å; angles 90.00, 91.26, 90.00 degrees
Atoms (fractional coordinates):
Li  0.0000  0.2342  0.0000
Li  0.0000  0.7658  0.0000
Li  0.4950  0.2441  0.5226
Li  0.4950  0.7559  0.5226
Ni  0.0286  0.5000  0.7355
Ni  0.5228  0.0000  0.7837
Ni  0.9428  0.0000  0.3020
Sb  0.4806  0.5000  0.2274
P  0.0817  0.0000  0.6117
P  0.4253  0.0000  0.0858
P  0.5957  0.5000  0.9070
P  0.9189  0.5000  0.4335
O  0.1948  0.0000  0.4745
O  0.2200  0.2002  0.6825
O  0.2200  0.7998  0.6825
O  0.2409  0.5000  0.4389
O  0.2740  0.5000  0.9052
O  0.2899  0.2005  0.1507
O  0.2899  0.7995  0.1507
O  0.3013  0.0000  0.9462
O  0.7255  0.5000  0.0485
O  0.7306  0.2995  0.8413
O  0.7306  0.7005  0.8413
O  0.7466  0.0000  0.0949
O  0.7576  0.0000  0.6173
O  0.7888  0.3042  0.3563
O  0.7888  0.6958  0.3563
O  0.7918  0.5000  0.5690